# Ba3La2Cl12
Computed XRD peak list, copper Kα. Input: a PBE-relaxed structure.

Crystal structure
Cell lengths 9.319, 10.099, 13.272 Å; angles 111.54, 106.06, 94.20 degrees
Positions (direct):
Ba: 0.005 0.400 0.207
Ba: 0.382 0.258 0.971
Ba: 0.412 0.363 0.633
Ba: 0.588 0.637 0.367
Ba: 0.618 0.742 0.029
Ba: 0.995 0.600 0.793
La: 0.210 0.797 0.577
La: 0.210 0.933 0.204
La: 0.790 0.067 0.796
La: 0.790 0.203 0.423
Cl: 0.034 0.298 0.947
Cl: 0.055 0.151 0.298
Cl: 0.067 0.381 0.582
Cl: 0.201 0.818 0.366
Cl: 0.233 0.969 0.014
Cl: 0.237 0.095 0.682
Cl: 0.300 0.749 0.770
Cl: 0.302 0.536 0.465
Cl: 0.325 0.488 0.870
Cl: 0.335 0.375 0.203
Cl: 0.387 0.725 0.162
Cl: 0.465 0.125 0.389
Cl: 0.535 0.875 0.611
Cl: 0.613 0.275 0.838
Cl: 0.665 0.625 0.797
Cl: 0.675 0.512 0.130
Cl: 0.698 0.464 0.535
Cl: 0.700 0.251 0.230
Cl: 0.763 0.905 0.318
Cl: 0.767 0.031 0.986
Cl: 0.799 0.182 0.634
Cl: 0.933 0.619 0.418
Cl: 0.945 0.849 0.702
Cl: 0.966 0.702 0.053

Most intense lines, 15° ≤ 2θ ≤ 90°, in order of rising 2θ:
2θ (°), Rel. int.
19.1, 100
20.0, 60
20.6, 76
33.9, 55
34.2, 52
34.3, 65

# U
Computed XRD peak list, copper Kα. Input: a PBE-relaxed structure.

Crystal structure
Cell lengths 3.221, 3.221, 4.910 Å; angles 90.00, 90.00, 128.30 degrees
Positions (direct):
U: 0.099 0.901 0.750
U: 0.901 0.099 0.250

Most intense lines, 15° ≤ 2θ ≤ 90°, in order of rising 2θ:
2θ (°), Rel. int.
35.5, 76
36.0, 100
36.6, 53
40.1, 56
51.9, 53
61.2, 46

# GePb7N6
Computed XRD peak list, copper Kα. Input: a PBE-relaxed structure.

Crystal structure
Cell lengths 12.761, 7.324, 12.788 Å; angles 90.00, 90.00, 90.00 degrees
Positions (direct):
Ge: 0.000 0.154 0.250
Ge: 0.000 0.846 0.750
Ge: 0.500 0.346 0.750
Ge: 0.500 0.654 0.250
Pb: 0.000 0.432 0.750
Pb: 0.000 0.568 0.250
Pb: 0.005 0.237 0.522
Pb: 0.005 0.763 0.022
Pb: 0.216 0.181 0.128
Pb: 0.216 0.819 0.628
Pb: 0.242 0.039 0.864
Pb: 0.242 0.961 0.364
Pb: 0.258 0.461 0.364
Pb: 0.258 0.539 0.864
Pb: 0.284 0.319 0.628
Pb: 0.284 0.681 0.128
Pb: 0.495 0.263 0.022
Pb: 0.495 0.737 0.522
Pb: 0.500 0.068 0.250
Pb: 0.500 0.932 0.750
Pb: 0.505 0.263 0.478
Pb: 0.505 0.737 0.978
Pb: 0.716 0.319 0.872
Pb: 0.716 0.681 0.372
Pb: 0.742 0.461 0.136
Pb: 0.742 0.539 0.636
Pb: 0.758 0.039 0.636
Pb: 0.758 0.961 0.136
Pb: 0.784 0.181 0.372
Pb: 0.784 0.819 0.872
Pb: 0.995 0.237 0.978
Pb: 0.995 0.763 0.478
N: 0.037 0.042 0.122
N: 0.037 0.958 0.622
N: 0.113 0.328 0.264
N: 0.113 0.672 0.764
N: 0.176 0.292 0.964
N: 0.176 0.708 0.464
N: 0.324 0.208 0.464
N: 0.324 0.792 0.964
N: 0.387 0.172 0.764
N: 0.387 0.828 0.264
N: 0.463 0.458 0.622
N: 0.463 0.542 0.122
N: 0.537 0.458 0.878
N: 0.537 0.542 0.378
N: 0.613 0.172 0.736
N: 0.613 0.828 0.236
N: 0.676 0.208 0.036
N: 0.676 0.792 0.536
N: 0.824 0.292 0.536
N: 0.824 0.708 0.036
N: 0.887 0.328 0.236
N: 0.887 0.672 0.736
N: 0.963 0.042 0.378
N: 0.963 0.958 0.878

Most intense lines, 15° ≤ 2θ ≤ 90°, in order of rising 2θ:
2θ (°), Rel. int.
28.0, 64
28.1, 27
29.0, 45
31.3, 100
35.3, 30
51.6, 24

# LiAl2H4Pb2O4F6
Computed XRD peak list, copper Kα. Input: a PBE-relaxed structure.

Crystal structure
Cell lengths 4.968, 7.060, 7.518 Å; angles 72.23, 87.23, 69.49 degrees
Positions (direct):
Li: 0.000 0.000 0.000
Al: 0.651 0.739 0.029
Al: 0.664 0.358 0.342
H: 0.008 0.392 0.550
H: 0.092 0.396 0.157
H: 0.217 0.693 0.232
H: 0.268 0.760 0.825
Pb: 0.499 0.353 0.814
Pb: 0.583 0.847 0.476
O: 0.427 0.657 0.240
O: 0.481 0.698 0.832
O: 0.798 0.452 0.525
O: 0.880 0.455 0.141
F: 0.366 0.006 0.972
F: 0.409 0.284 0.513
F: 0.465 0.289 0.182
F: 0.841 0.827 0.189
F: 0.899 0.832 0.866
F: 0.922 0.085 0.421

Most intense lines, 15° ≤ 2θ ≤ 90°, in order of rising 2θ:
2θ (°), Rel. int.
15.6, 39
19.1, 100
24.6, 36
28.4, 42
29.1, 30
40.9, 29

# BaCaAlF7
Computed XRD peak list, copper Kα. Input: a PBE-relaxed structure.

Crystal structure
Cell lengths 5.438, 5.466, 19.619 Å; angles 90.00, 103.67, 90.00 degrees
Positions (direct):
Ba: 0.184 0.243 0.432
Ba: 0.184 0.757 0.932
Ba: 0.816 0.243 0.068
Ba: 0.816 0.757 0.568
Ca: 0.000 0.322 0.750
Ca: 0.000 0.678 0.250
Ca: 0.500 0.208 0.250
Ca: 0.500 0.792 0.750
Al: 0.320 0.225 0.620
Al: 0.320 0.775 0.120
Al: 0.680 0.225 0.880
Al: 0.680 0.775 0.380
F: 0.008 0.282 0.560
F: 0.008 0.718 0.060
F: 0.160 0.029 0.675
F: 0.160 0.971 0.175
F: 0.224 0.363 0.307
F: 0.224 0.637 0.807
F: 0.263 0.481 0.674
F: 0.263 0.519 0.174
F: 0.343 0.044 0.065
F: 0.343 0.956 0.565
F: 0.384 0.138 0.819
F: 0.384 0.862 0.319
F: 0.466 0.407 0.565
F: 0.466 0.593 0.065
F: 0.534 0.407 0.935
F: 0.534 0.593 0.435
F: 0.616 0.138 0.681
F: 0.616 0.862 0.181
F: 0.657 0.044 0.435
F: 0.657 0.956 0.935
F: 0.737 0.481 0.826
F: 0.737 0.519 0.326
F: 0.776 0.363 0.193
F: 0.776 0.637 0.693
F: 0.840 0.029 0.825
F: 0.840 0.971 0.325
F: 0.992 0.282 0.940
F: 0.992 0.718 0.440

Most intense lines, 15° ≤ 2θ ≤ 90°, in order of rising 2θ:
2θ (°), Rel. int.
23.1, 100
24.7, 95
25.2, 45
28.1, 55
28.5, 48
39.3, 49

# La2MgSe4
Computed XRD peak list, copper Kα. Input: a PBE-relaxed structure.

Crystal structure
Cell lengths 13.821, 8.295, 13.761 Å; angles 90.00, 90.00, 90.00 degrees
Positions (direct):
La: 0.109 0.113 0.000
La: 0.127 0.615 0.640
La: 0.135 0.369 0.309
La: 0.136 0.869 0.308
La: 0.364 0.869 0.808
La: 0.365 0.369 0.809
La: 0.373 0.615 0.140
La: 0.391 0.113 0.500
La: 0.609 0.887 0.000
La: 0.627 0.385 0.640
La: 0.635 0.631 0.309
La: 0.636 0.131 0.308
La: 0.864 0.131 0.808
La: 0.865 0.631 0.809
La: 0.873 0.385 0.140
La: 0.891 0.887 0.500
Mg: 0.112 0.615 0.008
Mg: 0.126 0.120 0.635
Mg: 0.374 0.120 0.135
Mg: 0.388 0.615 0.508
Mg: 0.612 0.385 0.008
Mg: 0.626 0.880 0.635
Mg: 0.874 0.880 0.135
Mg: 0.888 0.385 0.508
Se: 0.010 0.116 0.195
Se: 0.026 0.627 0.182
Se: 0.027 0.615 0.444
Se: 0.048 0.126 0.456
Se: 0.209 0.118 0.810
Se: 0.210 0.618 0.840
Se: 0.231 0.863 0.088
Se: 0.235 0.360 0.092
Se: 0.265 0.360 0.592
Se: 0.269 0.863 0.588
Se: 0.290 0.618 0.340
Se: 0.291 0.118 0.310
Se: 0.452 0.126 0.956
Se: 0.473 0.615 0.944
Se: 0.474 0.627 0.682
Se: 0.490 0.116 0.695
Se: 0.510 0.884 0.195
Se: 0.526 0.373 0.182
Se: 0.527 0.385 0.444
Se: 0.548 0.874 0.456
Se: 0.709 0.882 0.810
Se: 0.710 0.382 0.840
Se: 0.731 0.137 0.088
Se: 0.735 0.640 0.092
Se: 0.765 0.640 0.592
Se: 0.769 0.137 0.588
Se: 0.790 0.382 0.340
Se: 0.791 0.882 0.310
Se: 0.952 0.874 0.956
Se: 0.973 0.385 0.944
Se: 0.974 0.373 0.682
Se: 0.990 0.884 0.695

Most intense lines, 15° ≤ 2θ ≤ 90°, in order of rising 2θ:
2θ (°), Rel. int.
23.3, 40
29.0, 58
29.7, 100
31.8, 67
39.8, 36
44.0, 49

# Li14Mn2S9
Computed XRD peak list, copper Kα. Input: a PBE-relaxed structure.

Crystal structure
Cell lengths 7.073, 7.073, 9.913 Å; angles 90.00, 90.00, 120.00 degrees
Positions (direct):
Li: 0.000 0.000 0.248
Li: 0.000 0.000 0.752
Li: 0.025 0.678 0.410
Li: 0.041 0.365 0.089
Li: 0.322 0.347 0.410
Li: 0.323 0.959 0.089
Li: 0.347 0.025 0.590
Li: 0.365 0.323 0.911
Li: 0.635 0.677 0.089
Li: 0.653 0.975 0.410
Li: 0.677 0.041 0.911
Li: 0.678 0.653 0.590
Li: 0.959 0.635 0.911
Li: 0.975 0.322 0.590
Mn: 0.333 0.667 0.756
Mn: 0.667 0.333 0.244
S: 0.000 0.000 0.500
S: 0.028 0.339 0.838
S: 0.310 0.972 0.838
S: 0.333 0.667 0.515
S: 0.339 0.310 0.162
S: 0.661 0.690 0.838
S: 0.667 0.333 0.485
S: 0.690 0.028 0.162
S: 0.972 0.661 0.162

Most intense lines, 15° ≤ 2θ ≤ 90°, in order of rising 2θ:
2θ (°), Rel. int.
17.0, 92
26.8, 100
27.0, 37
44.4, 55
44.6, 60
52.7, 25

# ZnAg2I4
Computed XRD peak list, copper Kα. Input: a PBE-relaxed structure.

Crystal structure
Cell lengths 9.226, 7.845, 7.480 Å; angles 90.00, 90.00, 90.00 degrees
Positions (direct):
Zn: 0.000 0.179 0.000
Zn: 0.500 0.821 0.500
Ag: 0.248 0.669 0.998
Ag: 0.252 0.331 0.498
Ag: 0.748 0.331 0.498
Ag: 0.752 0.669 0.998
I: 0.000 0.166 0.644
I: 0.000 0.859 0.125
I: 0.244 0.322 0.114
I: 0.256 0.678 0.614
I: 0.500 0.141 0.625
I: 0.500 0.834 0.144
I: 0.744 0.678 0.614
I: 0.756 0.322 0.114

Most intense lines, 15° ≤ 2θ ≤ 90°, in order of rising 2θ:
2θ (°), Rel. int.
22.4, 100
23.8, 93
25.4, 89
39.6, 87
42.8, 91
46.7, 55